(1)
Simulated powder X-ray diffraction pattern of AcZnGePd2 for copper Kα, from the PBE geometry in Alexandria.

Top 10 peaks for 2θ from 15° to 90°, by intensity:
2θ (°), I_rel
33.43, 100
31.58, 36
40.92, 26
32.08, 25
42.51, 23
46.16, 19
29.17, 19
60.48, 16
53.91, 16
63.37, 15

Cell and atoms:
Cell lengths 4.253, 4.411, 11.090 Å; angles 90.00, 90.00, 90.00 degrees
Space group Imm2 (No. 44)
One atom of each set of equivalent atoms:
Ac: 0.000 0.000 0.000 [2 per cell]
Zn: 0.000 0.500 0.757 [2 per cell]
Ge: 0.000 0.000 0.628 [2 per cell]
Pd: 0.000 0.000 0.401 [2 per cell]
Pd: 0.000 0.500 0.245 [2 per cell]

---

(2)
Simulated powder X-ray diffraction pattern of AcPm4Ge3 for copper Kα, from the PBE geometry in Alexandria.

Top 10 peaks for 2θ from 15° to 90°, by intensity:
2θ (°), I_rel
31.56, 100
37.21, 73
27.54, 70
37.39, 38
25.44, 35
26.32, 28
63.58, 27
53.65, 26
46.15, 25
40.11, 22

Cell and atoms:
Cell lengths 4.832, 4.832, 10.159 Å; angles 90.00, 90.00, 90.00 degrees
Space group P4/mmm (No. 123)
One atom of each set of equivalent atoms:
Ac: 0.000 0.000 0.000 [1 per cell]
Pm: 0.000 0.500 0.315 [4 per cell]
Ge: 0.000 0.000 0.500 [1 per cell]
Ge: 0.500 0.500 0.132 [2 per cell]

---

(3)
Simulated powder X-ray diffraction pattern of Ac2Pm2Ge5 for copper Kα, from the PBE geometry in Alexandria.

Top 10 peaks for 2θ from 15° to 90°, by intensity:
2θ (°), I_rel
31.35, 100
22.67, 68
32.20, 59
25.00, 50
25.12, 49
30.14, 43
33.35, 42
36.46, 42
36.63, 41
32.31, 34

Cell and atoms:
Cell lengths 16.623, 7.886, 7.840 Å; angles 90.00, 90.00, 90.00 degrees
Space group Cmce (No. 64)
One atom of each set of equivalent atoms:
Ac: 0.189 0.000 0.000 [8 per cell]
Pm: 0.000 0.179 0.322 [8 per cell]
Ge: 0.000 0.000 0.000 [4 per cell]
Ge: 0.127 0.113 0.613 [16 per cell]

---

(4)
Simulated powder X-ray diffraction pattern of AcPm12Ge7 for copper Kα, from the PBE geometry in Alexandria.

Top 10 peaks for 2θ from 15° to 90°, by intensity:
2θ (°), I_rel
32.01, 100
26.45, 64
35.37, 53
28.98, 39
37.22, 34
53.00, 32
30.93, 31
47.79, 19
49.52, 17
24.57, 16

Cell and atoms:
Cell lengths 15.2256, 15.2256, 8.6734 Å; angles 90.00, 90.00, 120.00 degrees
Space group R-3m (No. 166, hexagonal axes)
One atom of each set of equivalent atoms:
Ac: 0.0000 0.0000 0.0000 [3 per cell]
Pm: 0.0000 0.2676 0.0000 [18 per cell]
Pm: 0.1024 0.2048 0.3699 [18 per cell]
Ge: 0.0000 0.0000 0.5000 [3 per cell]
Ge: 0.1110 0.2221 0.7534 [18 per cell]